For LiMnAsCO7, a DFT-relaxed cell (GGA+U, Alexandria) gives the theoretical powder diffractogram in this record (CuKα).
Lines closer than 0.1° are merged.

Atomic structure:
```
data_LiMnAsCO7
_cell_length_a 5.3500
_cell_length_b 6.4106
_cell_length_c 8.8130
_cell_angle_alpha 90.00
_cell_angle_beta 93.77
_cell_angle_gamma 90.00
_space_group_name_H-M_alt 'P 1 21 1'
_space_group_IT_number 4
_space_group_name_Hall 'P 2yb'
loop_
_atom_site_label
_atom_site_fract_x
_atom_site_fract_y
_atom_site_fract_z
Li1 0.2346 0.0000 0.3133
Mn1 0.2085 0.6805 0.8324
As1 0.2779 0.1772 0.9330
C1 0.2725 0.7038 0.5633
O1 0.0515 0.6828 0.6207
O2 0.1357 0.1668 0.1021
O3 0.1888 0.3821 0.8160
O4 0.1928 0.9756 0.8135
O5 0.3073 0.7467 0.4300
O6 0.4021 0.6848 0.0235
O7 0.4545 0.6813 0.6727
```

Largest 10 diffraction maxima, low angle first, 2θ = 10–80°:
2θ = 10.06°, I = 100; 2θ = 17.12°, I = 15; 2θ = 18.87°, I = 31; 2θ = 20.02°, I = 24; 2θ = 24.40°, I = 30; 2θ = 25.38°, I = 28; 2θ = 27.83°, I = 41; 2θ = 29.66°, I = 12; 2θ = 33.59°, I = 18; 2θ = 33.87°, I = 12